(1)
Computed powder diffractogram of Pr5Ir2I2 for Cu Kα, 1.54184 Å, from a DFT-relaxed cell (GGA-PBE, Alexandria).
No peak broadening, texture or thermal motion is included.

Cell and atoms:
a b c (Å): 17.062 8.130 8.176
angles (deg): 90.00 90.00 90.00
Space group Cmce (No. 64)
Unique sites:
Pr: 0.000 0.000 0.000
Pr: 0.107 0.153 0.345
Ir: 0.000 0.145 0.640
I: 0.210 0.000 0.000

Main lines, sorted by position (5° ≤ 2θ ≤ 70°):
d (Å), Rel. int., index
8.531, 100.0, 2 0 0
3.073, 49.2, 3 1 2
2.947, 27.0, 4 0 2
2.936, 32.1, 5 1 1
2.882, 21.0, 0 2 2
2.769, 74.3, 4 2 1
2.555, 55.5, 1 1 3
2.544, 56.6, 1 3 1
2.493, 61.8, 5 1 2
2.242, 33.2, 6 2 1


(2)
Computed powder diffractogram of Li2Rh2F7 for Cu Kα, 1.54184 Å, from a DFT-relaxed cell (GGA-PBE, Alexandria).
No peak broadening, texture or thermal motion is included.

Cell and atoms:
a b c (Å): 4.140 27.142 5.402
angles (deg): 90.00 90.00 90.00
Space group Cmc2_1 (No. 36)
Unique sites:
Li: 0.000 0.084 0.000
Li: 0.000 0.235 0.462
Rh: 0.000 0.341 0.348
Rh: 0.000 0.448 0.879
F: 0.000 0.055 0.328
F: 0.000 0.150 0.857
F: 0.000 0.276 0.158
F: 0.000 0.296 0.644
F: 0.000 0.378 0.022
F: 0.000 0.409 0.529
F: 0.000 0.484 0.217

Main lines, sorted by position (5° ≤ 2θ ≤ 70°):
d (Å), Rel. int., index
13.571, 24.5, 0 2 0
4.226, 100.0, 0 4 1
4.093, 79.2, 1 1 0
3.468, 31.2, 0 6 1
2.811, 37.5, 1 5 1
2.070, 22.7, 2 0 0
1.914, 19.3, 0 10 2
1.859, 19.7, 2 4 1
1.825, 18.1, 0 14 1
1.810, 20.7, 1 9 2


(3)
Computed powder diffractogram of ThMnSe4 for Cu Kα, 1.54184 Å, from a DFT-relaxed cell (GGA-PBE, Alexandria).
No peak broadening, texture or thermal motion is included.

Cell and atoms:
a b c (Å): 5.563 6.738 7.595
angles (deg): 90.00 90.00 90.00
Space group Pmna (No. 53)
Unique sites:
Th: 0.000 0.000 0.000
Mn: 0.000 0.500 0.500
Se: 0.000 0.175 0.358
Se: 0.250 0.319 0.750

Main lines, sorted by position (5° ≤ 2θ ≤ 70°):
d (Å), Rel. int., index
6.738, 50.0, 0 1 0
3.735, 100.0, 1 1 1
3.308, 31.8, 0 1 2
2.694, 39.9, 1 2 1
2.571, 32.6, 2 1 0
2.520, 53.4, 0 2 2
2.435, 38.8, 2 1 1
2.244, 41.8, 2 0 2
2.180, 51.5, 1 1 3
2.008, 48.4, 1 3 1


(4)
Computed powder diffractogram of Tl2POsO6 for Cu Kα, 1.54184 Å, from a DFT-relaxed cell (GGA-PBE, Alexandria).
No peak broadening, texture or thermal motion is included.

Cell and atoms:
a b c (Å): 5.038 5.038 6.765
angles (deg): 111.51 111.49 90.00
Space group P-1 (No. 2)
Unique sites:
Tl: 0.249 0.250 0.000
P: 0.000 0.500 0.500
Os: 0.500 0.000 0.500
O: 0.149 0.208 0.498
O: 0.293 0.652 0.504
O: 0.342 0.838 0.180

Main lines, sorted by position (5° ≤ 2θ ≤ 70°):
d (Å), Rel. int., index
4.619, 41.3, 1 0 -1
3.047, 53.7, 1 1 0
3.034, 100.0, 1 -1 1
3.020, 49.5, 1 1 -2
2.892, 55.6, 0 0 2
2.519, 64.6, 2 0 -1
1.906, 24.4, 2 0 1
1.893, 23.9, 0 2 -3
1.781, 27.2, 2 2 -2
1.539, 30.2, 3 1 -1


(5)
Computed powder diffractogram of Mg2Cd for Cu Kα, 1.54184 Å, from a DFT-relaxed cell (GGA-PBE, Alexandria).
No peak broadening, texture or thermal motion is included.

Cell and atoms:
a b c (Å): 5.5443 5.5443 14.9428
angles (deg): 90.00 90.00 120.00
Space group R32 (No. 155, hexagonal axes)
Unique sites:
Mg: 0.0000 0.0000 0.0000
Mg: 0.0000 0.6674 0.5000
Cd: 0.0000 0.0000 0.3346

Main lines, sorted by position (5° ≤ 2θ ≤ 70°):
d (Å), Rel. int., index
4.981, 36.2, 0 0 3
4.571, 23.2, 1 0 1
4.039, 15.4, 0 1 2
2.772, 41.5, 1 1 0
2.490, 22.0, 0 0 6
2.422, 100.0, 1 1 3
1.853, 24.6, 1 1 6
1.600, 16.1, 3 0 0
1.424, 17.5, 1 1 9
1.346, 17.5, 3 0 6


(6)
Computed powder diffractogram of PtRh for Cu Kα, 1.54184 Å, from a DFT-relaxed cell (GGA-PBE, Alexandria).
No peak broadening, texture or thermal motion is included.

Cell and atoms:
a b c (Å): 3.900 3.900 7.840
angles (deg): 90.00 90.00 90.00
Space group I4_1/amd (No. 141, origin choice 2)
Unique sites:
Pt: 0.000 0.250 0.375
Rh: 0.000 0.250 0.875

Main lines, sorted by position (5° ≤ 2θ ≤ 70°):
d (Å), Rel. int., index
3.492, 12.9, 1 0 1
2.256, 100.0, 1 1 2
2.171, 3.8, 1 0 3
1.960, 16.4, 0 0 4
1.950, 32.4, 2 0 0
1.703, 3.7, 2 1 1
1.455, 1.1, 1 0 5
1.451, 2.3, 2 1 3
1.382, 21.1, 2 0 4
1.379, 10.5, 2 2 0


Copy entry 3 word for word.
Computed powder diffractogram of ThMnSe4 for Cu Kα, 1.54184 Å, from a DFT-relaxed cell (GGA-PBE, Alexandria).
No peak broadening, texture or thermal motion is included.

Cell and atoms:
a b c (Å): 5.563 6.738 7.595
angles (deg): 90.00 90.00 90.00
Space group Pmna (No. 53)
Unique sites:
Th: 0.000 0.000 0.000
Mn: 0.000 0.500 0.500
Se: 0.000 0.175 0.358
Se: 0.250 0.319 0.750

Main lines, sorted by position (5° ≤ 2θ ≤ 70°):
d (Å), Rel. int., index
6.738, 50.0, 0 1 0
3.735, 100.0, 1 1 1
3.308, 31.8, 0 1 2
2.694, 39.9, 1 2 1
2.571, 32.6, 2 1 0
2.520, 53.4, 0 2 2
2.435, 38.8, 2 1 1
2.244, 41.8, 2 0 2
2.180, 51.5, 1 1 3
2.008, 48.4, 1 3 1